# 1
The following is a theoretical powder X-ray diffraction pattern of TeMoWSe3. It was derived from the GGA-PBE geometry in Alexandria, using a wavelength of 1.5418 Å.
Kinematic intensities with the Lorentz-polarization factor, no thermal factor.

Largest 10 diffraction maxima, most intense first, 5° ≤ 2θ ≤ 70°:
d/Å, I_rel
2.498, 100
7.187, 99
2.051, 67
14.374, 49
2.927, 41
1.690, 32
2.711, 19
1.399, 16
1.645, 13
1.797, 11

Cell and atoms:
a b c (Å): 3.3794 3.3794 28.7484
angles (deg): 90.00 90.00 120.00
Space group P3m1 (No. 156)
Unique sites:
Te 0.0000 0.0000 0.0000 [1 per cell]
Te 0.0000 0.0000 0.1316 [1 per cell]
Mo 0.0000 0.0000 0.3193 [1 per cell]
Mo 0.0000 0.0000 0.8111 [1 per cell]
W 0.3333 0.6667 0.0658 [1 per cell]
W 0.3333 0.6667 0.5646 [1 per cell]
Se 0.0000 0.0000 0.5068 [1 per cell]
Se 0.0000 0.0000 0.6224 [1 per cell]
Se 0.3333 0.6667 0.2618 [1 per cell]
Se 0.3333 0.6667 0.3769 [1 per cell]
Se 0.3333 0.6667 0.7536 [1 per cell]
Se 0.3333 0.6667 0.8687 [1 per cell]

---

# 2
The following is a theoretical powder X-ray diffraction pattern of Te3MoWSe. It was derived from the GGA-PBE geometry in Alexandria, using a wavelength of 1.5418 Å.
Kinematic intensities with the Lorentz-polarization factor, no thermal factor.

Largest 10 diffraction maxima, most intense first, 5° ≤ 2θ ≤ 70°:
d/Å, I_rel
2.576, 100
7.376, 75
2.112, 63
3.025, 42
1.746, 33
1.445, 16
1.346, 15
1.844, 11
2.798, 11
1.574, 10

Cell and atoms:
a b c (Å): 3.4925 3.4925 29.5041
angles (deg): 90.00 90.00 120.00
Space group P3m1 (No. 156)
Unique sites:
Te 0.0000 0.0000 0.0000 [1 per cell]
Te 0.0000 0.0000 0.1243 [1 per cell]
Te 0.0000 0.0000 0.5076 [1 per cell]
Te 0.0000 0.0000 0.6326 [1 per cell]
Te 0.3333 0.6667 0.2538 [1 per cell]
Te 0.3333 0.6667 0.3782 [1 per cell]
Mo 0.0000 0.0000 0.3160 [1 per cell]
Mo 0.3333 0.6667 0.0621 [1 per cell]
W 0.0000 0.0000 0.8153 [1 per cell]
W 0.3333 0.6667 0.5701 [1 per cell]
Se 0.3333 0.6667 0.7603 [1 per cell]
Se 0.3333 0.6667 0.8703 [1 per cell]

---

# 3
The following is a theoretical powder X-ray diffraction pattern of Te3MoWSe. It was derived from the GGA-PBE geometry in Alexandria, using a wavelength of 1.5418 Å.
Kinematic intensities with the Lorentz-polarization factor, no thermal factor.

Largest 10 diffraction maxima, most intense first, 5° ≤ 2θ ≤ 70°:
d/Å, I_rel
2.574, 100
7.331, 71
2.106, 60
3.028, 42
14.662, 37
1.748, 33
1.446, 17
2.798, 14
1.345, 14
1.833, 10

Cell and atoms:
a b c (Å): 3.4962 3.4962 29.3239
angles (deg): 90.00 90.00 120.00
Space group P3m1 (No. 156)
Unique sites:
Te 0.0000 0.0000 0.0000 [1 per cell]
Te 0.0000 0.0000 0.1250 [1 per cell]
Te 0.6667 0.3333 0.2558 [1 per cell]
Te 0.6667 0.3333 0.3814 [1 per cell]
Te 0.6667 0.3333 0.7449 [1 per cell]
Te 0.6667 0.3333 0.8706 [1 per cell]
Mo 0.6667 0.3333 0.0625 [1 per cell]
Mo 0.6667 0.3333 0.5617 [1 per cell]
W 0.0000 0.0000 0.3186 [1 per cell]
W 0.0000 0.0000 0.8077 [1 per cell]
Se 0.0000 0.0000 0.5066 [1 per cell]
Se 0.0000 0.0000 0.6169 [1 per cell]

---

# 4
The following is a theoretical powder X-ray diffraction pattern of Te4MoW3Se4. It was derived from the GGA-PBE geometry in Alexandria, using a wavelength of 1.5418 Å.
Kinematic intensities with the Lorentz-polarization factor, no thermal factor.

Largest 10 diffraction maxima, most intense first, 5° ≤ 2θ ≤ 70°:
d/Å, I_rel
2.536, 100
7.270, 93
2.080, 58
2.976, 41
1.718, 33
1.422, 16
2.754, 14
1.672, 12
2.189, 10
9.693, 9

Cell and atoms:
a b c (Å): 3.4363 3.4363 29.0799
angles (deg): 90.00 90.00 120.00
Space group P3m1 (No. 156)
Unique sites:
Te 0.0000 0.0000 0.0000 [1 per cell]
Te 0.0000 0.0000 0.1284 [1 per cell]
Te 0.3333 0.6667 0.2610 [1 per cell]
Te 0.3333 0.6667 0.3894 [1 per cell]
Mo 0.3333 0.6667 0.5759 [1 per cell]
W 0.0000 0.0000 0.3252 [1 per cell]
W 0.0000 0.0000 0.8140 [1 per cell]
W 0.3333 0.6667 0.0642 [1 per cell]
Se 0.0000 0.0000 0.5196 [1 per cell]
Se 0.0000 0.0000 0.6321 [1 per cell]
Se 0.3333 0.6667 0.7576 [1 per cell]
Se 0.3333 0.6667 0.8705 [1 per cell]

---

# 5
The following is a theoretical powder X-ray diffraction pattern of TiMo2Se4. It was derived from the GGA-PBE geometry in Alexandria, using a wavelength of 1.5418 Å.
Kinematic intensities with the Lorentz-polarization factor, no thermal factor.

Largest 10 diffraction maxima, most intense first, 5° ≤ 2θ ≤ 70°:
d/Å, I_rel
2.550, 100
2.225, 67
1.677, 54
3.606, 48
6.182, 36
1.803, 34
3.115, 29
2.347, 19
1.401, 15
4.715, 14

Cell and atoms:
a b c (Å): 5.100 5.100 12.365
angles (deg): 90.00 90.00 90.00
Space group I4/mmm (No. 139)
Unique sites:
Ti 0.000 0.000 0.000 [2 per cell]
Mo 0.000 0.000 0.407 [4 per cell]
Se 0.000 0.000 0.200 [4 per cell]
Se 0.000 0.500 0.000 [4 per cell]

---

# 6
The following is a theoretical powder X-ray diffraction pattern of Tl2MoSe5. It was derived from the GGA-PBE geometry in Alexandria, using a wavelength of 1.5418 Å.
Kinematic intensities with the Lorentz-polarization factor, no thermal factor.

Largest 10 diffraction maxima, most intense first, 5° ≤ 2θ ≤ 70°:
d/Å, I_rel
3.739, 100
3.366, 62
2.285, 50
6.503, 34
2.577, 31
2.506, 27
2.232, 26
2.649, 25
6.732, 20
1.959, 19

Cell and atoms:
a b c (Å): 5.613 7.867 13.007
angles (deg): 90.00 90.00 90.00
Space group Imm2 (No. 44)
Unique sites:
Tl 0.000 0.000 0.000 [2 per cell]
Tl 0.000 0.000 0.468 [2 per cell]
Mo 0.000 0.500 0.211 [2 per cell]
Se 0.000 0.500 0.389 [2 per cell]
Se 0.232 0.230 0.652 [8 per cell]

---

# 7
The following is a theoretical powder X-ray diffraction pattern of TlMo3Se3. It was derived from the GGA-PBE geometry in Alexandria, using a wavelength of 1.5418 Å.
Kinematic intensities with the Lorentz-polarization factor, no thermal factor.

Largest 10 diffraction maxima, most intense first, 5° ≤ 2θ ≤ 70°:
d/Å, I_rel
2.505, 100
7.958, 54
2.988, 44
3.008, 44
2.048, 42
2.262, 42
1.693, 40
3.933, 37
4.595, 28
1.984, 28

Cell and atoms:
a b c (Å): 9.1892 9.1892 4.5236
angles (deg): 90.00 90.00 120.00
Space group P6_3/m (No. 176)
Unique sites:
Tl 0.3333 0.6667 0.2500 [2 per cell]
Mo 0.0309 0.8500 0.2500 [6 per cell]
Se 0.0630 0.7044 0.7500 [6 per cell]